# CeScBiPb
Simulated powder diffractogram, Cu Kα (λ = 1.5418 Å). Input: the PBE geometry in Alexandria.

Main lines, by angle (10 to 90 degrees two-theta):
(1 1 1), 2θ = 20.13°, I 5.6
(2 0 0), 2θ = 23.29°, I 16.8
(2 2 0), 2θ = 33.17°, I 100.0
(2 2 2), 2θ = 40.92°, I 5.7
(4 0 0), 2θ = 47.62°, I 18.4
(4 2 0), 2θ = 53.66°, I 8.1
(4 2 2), 2θ = 59.26°, I 38.4
(4 4 0), 2θ = 69.62°, I 12.0
(6 2 0), 2θ = 79.33°, I 16.9
(4 4 4), 2θ = 88.72°, I 4.5

Structure:
```
data_CeScBiPb
_cell_length_a 7.639
_cell_length_b 7.639
_cell_length_c 7.639
_cell_angle_alpha 90.00
_cell_angle_beta 90.00
_cell_angle_gamma 90.00
_symmetry_space_group_name_H-M 'F -4 3 m'
_symmetry_Int_Tables_number 216
_symmetry_space_group_name_Hall 'F -4 2 3'
loop_
_atom_site_label
_atom_site_type_symbol
_atom_site_fract_x
_atom_site_fract_y
_atom_site_fract_z
Ce1 Ce 0.000 0.000 0.000
Sc1 Sc 0.000 0.000 0.500
Bi1 Bi 0.250 0.250 0.250
Pb1 Pb 0.250 0.250 0.750
```

# CeBi7Pd4
Simulated powder diffractogram, Cu Kα (λ = 1.5418 Å). Input: the PBE geometry in Alexandria.

Main lines, by angle (10 to 90 degrees two-theta):
(4 0 -1), 2θ = 26.69°, I 17.2
(0 2 0), 2θ = 29.32°, I 100.0
(4 0 0), 2θ = 31.42°, I 36.4
(4 0 -3), 2θ = 31.82°, I 68.3
(1 1 2), 2θ = 32.24°, I 24.9
(0 0 3), 2θ = 35.50°, I 35.2
(5 1 0), 2θ = 42.37°, I 18.1
(4 2 0), 2θ = 43.51°, I 30.2
(4 2 -3), 2θ = 43.81°, I 57.4
(0 2 3), 2θ = 46.68°, I 33.4

Structure:
```
data_CeBi7Pd4
_cell_length_a 13.656
_cell_length_b 6.093
_cell_length_c 9.098
_cell_angle_alpha 90.00
_cell_angle_beta 123.50
_cell_angle_gamma 90.00
_symmetry_space_group_name_H-M 'C 1 2/m 1'
_symmetry_Int_Tables_number 12
loop_
_symmetry_equiv_pos_as_xyz
'x,y,z'
'-x,-y,-z'
'-x,y,-z'
'x,-y,z'
'x+1/2,y+1/2,z'
'-x+1/2,-y+1/2,-z'
'-x+1/2,y+1/2,-z'
'x+1/2,-y+1/2,z'
loop_
_atom_site_label
_atom_site_type_symbol
_atom_site_fract_x
_atom_site_fract_y
_atom_site_fract_z
Ce1 Ce 0.000 0.000 0.000
Bi1 Bi 0.000 0.500 0.000
Bi2 Bi 0.058 0.000 0.399
Bi3 Bi 0.206 0.500 0.630
Bi4 Bi 0.248 0.500 0.033
Pd1 Pd 0.013 0.500 0.691
Pd2 Pd 0.214 0.500 0.314
```

# Ce2BiPd2
Simulated powder diffractogram, Cu Kα (λ = 1.5418 Å). Input: the PBE geometry in Alexandria.

Main lines, by angle (10 to 90 degrees two-theta):
(1 0 4), 2θ = 30.56°, I 20.5
(0 1 5), 2θ = 35.03°, I 94.0
(1 1 0), 2θ = 36.03°, I 100.0
(2 0 5), 2θ = 51.13°, I 32.1
(1 0 10), 2θ = 62.19°, I 11.4
(1 2 5), 2θ = 64.13°, I 32.5
(1 1 9), 2θ = 64.64°, I 12.7
(3 0 0), 2θ = 64.77°, I 18.1
(2 2 0), 2θ = 76.41°, I 11.3
(3 1 5), 2θ = 86.92°, I 14.6

Structure:
```
data_Ce2BiPd2
_cell_length_a 4.9858
_cell_length_b 4.9858
_cell_length_c 15.9086
_cell_angle_alpha 90.00
_cell_angle_beta 90.00
_cell_angle_gamma 120.00
_symmetry_space_group_name_H-M 'R -3 m'
_symmetry_Int_Tables_number 166
_symmetry_space_group_name_Hall '-R 3 2"'
loop_
_atom_site_label
_atom_site_type_symbol
_atom_site_fract_x
_atom_site_fract_y
_atom_site_fract_z
Ce1 Ce 0.0000 0.0000 0.2152
Bi1 Bi 0.0000 0.0000 0.0000
Pd1 Pd 0.0000 0.0000 0.4123
```

# CePm2Bi4
Simulated powder diffractogram, Cu Kα (λ = 1.5418 Å). Input: the PBE geometry in Alexandria.

Main lines, by angle (10 to 90 degrees two-theta):
(1 1 2), 2θ = 22.68°, I 17.6
(3 0 1), 2θ = 29.35°, I 100.0
(1 0 3), 2θ = 29.51°, I 48.1
(3 2 1), 2θ = 34.91°, I 82.9
(2 1 3), 2θ = 35.01°, I 43.2
(4 2 2), 2θ = 46.25°, I 25.7
(4 1 3), 2θ = 48.35°, I 18.7
(6 1 1), 2θ = 59.20°, I 28.4
(6 2 0), 2θ = 60.88°, I 13.0
(5 1 4), 2θ = 62.74°, I 17.1

Structure:
```
data_CePm2Bi4
_cell_length_a 9.627
_cell_length_b 9.627
_cell_length_c 9.568
_cell_angle_alpha 90.00
_cell_angle_beta 90.00
_cell_angle_gamma 90.00
_symmetry_space_group_name_H-M 'I -4 2 d'
_symmetry_Int_Tables_number 122
_symmetry_space_group_name_Hall 'I -4 2bw'
loop_
_atom_site_label
_atom_site_type_symbol
_atom_site_fract_x
_atom_site_fract_y
_atom_site_fract_z
Ce1 Ce 0.000 0.000 0.000
Pm1 Pm 0.124 0.750 0.625
Bi1 Bi 0.077 0.670 0.956
```

What did the third record say?
# Ce2BiPd2
Simulated powder diffractogram, Cu Kα (λ = 1.5418 Å). Input: the PBE geometry in Alexandria.

Main lines, by angle (10 to 90 degrees two-theta):
(1 0 4), 2θ = 30.56°, I 20.5
(0 1 5), 2θ = 35.03°, I 94.0
(1 1 0), 2θ = 36.03°, I 100.0
(2 0 5), 2θ = 51.13°, I 32.1
(1 0 10), 2θ = 62.19°, I 11.4
(1 2 5), 2θ = 64.13°, I 32.5
(1 1 9), 2θ = 64.64°, I 12.7
(3 0 0), 2θ = 64.77°, I 18.1
(2 2 0), 2θ = 76.41°, I 11.3
(3 1 5), 2θ = 86.92°, I 14.6

Structure:
```
data_Ce2BiPd2
_cell_length_a 4.9858
_cell_length_b 4.9858
_cell_length_c 15.9086
_cell_angle_alpha 90.00
_cell_angle_beta 90.00
_cell_angle_gamma 120.00
_symmetry_space_group_name_H-M 'R -3 m'
_symmetry_Int_Tables_number 166
_symmetry_space_group_name_Hall '-R 3 2"'
loop_
_atom_site_label
_atom_site_type_symbol
_atom_site_fract_x
_atom_site_fract_y
_atom_site_fract_z
Ce1 Ce 0.0000 0.0000 0.2152
Bi1 Bi 0.0000 0.0000 0.0000
Pd1 Pd 0.0000 0.0000 0.4123
```

Number 2 is which compound? CeBi7Pd4

Which formula does entry 3 have? Ce2BiPd2